# 1
Tl2In5Ag3: simulated PXRD pattern (a wavelength of 1.5418 Å), based on the PBE geometry in Alexandria.
No peak broadening, texture or thermal motion is included.

Peak list (10 most intense, 2θ from 15° to 90°, in order of falling intensity)
Position (°2θ), I/Imax
31.64, 100
39.29, 31
33.56, 19
30.37, 17
34.46, 16
66.48, 12
52.61, 11
64.21, 8
58.86, 8
41.23, 8

Atomic structure:
```
Tl2In5Ag3
1.0
2.293 -14.224 0.000
2.293 14.224 0.000
0.000 0.000 7.748
Tl In Ag
4 10 6
Cartesian
2.293 13.610 3.874
2.293 4.984 3.255
2.293 -4.984 7.129
2.293 -13.610 0.000
2.293 11.406 0.889
2.293 8.401 1.647
2.293 8.342 4.852
2.293 3.588 7.437
2.293 1.527 2.599
2.293 -1.527 6.473
2.293 -3.588 3.563
2.293 -8.342 0.978
2.293 -8.401 5.521
2.293 -11.406 4.763
2.293 11.116 5.579
2.293 6.546 7.120
2.293 1.256 5.592
2.293 -1.256 1.718
2.293 -6.546 3.246
2.293 -11.116 1.705
```

---

# 2
NaSn6Pt3: simulated PXRD pattern (a wavelength of 1.5418 Å), based on the PBE geometry in Alexandria.
No peak broadening, texture or thermal motion is included.

Peak list (10 most intense, 2θ from 15° to 90°, in order of falling intensity)
Position (°2θ), I/Imax
39.30, 100
20.71, 78
41.32, 76
40.65, 71
24.24, 52
35.02, 47
38.60, 46
21.88, 42
43.81, 38
37.49, 36

Atomic structure:
```
NaSn6Pt3
1.0
8.700 0.000 0.000
0.000 4.439 0.000
-2.328 0.000 12.553
Na Sn Pt
2 12 6
Cartesian
-0.073 1.110 3.955
6.445 3.329 8.597
-0.912 1.110 10.618
0.100 3.329 6.161
1.565 3.329 1.984
0.987 3.329 9.178
3.390 1.110 0.603
3.181 3.329 4.839
3.191 1.110 7.714
2.982 3.329 11.950
5.385 1.110 3.374
4.806 1.110 10.568
6.272 1.110 6.392
7.283 3.329 1.934
-0.022 1.110 7.888
0.166 3.329 11.846
2.713 1.110 3.189
3.659 3.329 9.363
6.205 1.110 0.707
6.394 3.329 4.665
```

---

# 3
Na3Sc: simulated PXRD pattern (a wavelength of 1.5418 Å), based on the PBE geometry in Alexandria.
No peak broadening, texture or thermal motion is included.

Peak list (10 most intense, 2θ from 15° to 90°, in order of falling intensity)
Position (°2θ), I/Imax
30.83, 100
35.75, 49
61.19, 36
51.45, 32
83.97, 12
86.68, 11
64.23, 10
17.66, 10
25.07, 8
75.74, 4

Atomic structure:
```
Na3Sc
1.0
5.024 0.000 0.000
0.000 5.024 0.000
0.000 0.000 5.024
Na Sc
3 1
Cartesian
0.000 0.000 2.512
0.000 2.512 0.000
2.512 0.000 0.000
2.512 2.512 2.512
```

---

# 4
TaSiSb2: simulated PXRD pattern (a wavelength of 1.5418 Å), based on the PBE geometry in Alexandria.
No peak broadening, texture or thermal motion is included.

Peak list (10 most intense, 2θ from 15° to 90°, in order of falling intensity)
Position (°2θ), I/Imax
34.97, 100
40.47, 41
37.92, 30
17.63, 27
31.27, 26
26.59, 21
80.05, 21
45.07, 16
47.39, 16
66.60, 15

Atomic structure:
```
TaSiSb2
1.0
1.918 -2.373 0.000
1.918 2.373 0.000
0.000 0.000 10.059
Ta Si Sb
1 1 2
Cartesian
0.000 0.000 0.000
1.918 0.000 1.787
0.000 0.000 4.121
1.918 0.000 7.852
```

---

# 5
Li2La3In3: simulated PXRD pattern (a wavelength of 1.5418 Å), based on the PBE geometry in Alexandria.
No peak broadening, texture or thermal motion is included.

Peak list (10 most intense, 2θ from 15° to 90°, in order of falling intensity)
Position (°2θ), I/Imax
29.25, 100
30.85, 66
25.44, 50
35.97, 45
32.76, 32
31.68, 29
37.54, 27
49.44, 20
34.56, 20
20.28, 19

Atomic structure:
```
Li2La3In3
1.0
2.497 -5.468 0.000
2.497 5.468 0.000
0.000 0.000 16.495
Li La In
4 6 6
Cartesian
2.497 3.176 9.724
2.497 3.176 15.018
2.497 -3.176 1.477
2.497 -3.176 6.770
2.497 4.389 1.834
2.497 4.389 6.414
2.497 1.254 4.124
2.497 -1.254 12.371
2.497 -4.389 10.081
2.497 -4.389 14.661
2.497 2.014 12.371
2.497 1.216 0.744
2.497 1.216 7.503
2.497 -1.216 8.991
2.497 -1.216 15.751
2.497 -2.014 4.124
```

---

# 6
Tb6RuRh3: simulated PXRD pattern (a wavelength of 1.5418 Å), based on the PBE geometry in Alexandria.
No peak broadening, texture or thermal motion is included.

Peak list (10 most intense, 2θ from 15° to 90°, in order of falling intensity)
Position (°2θ), I/Imax
38.56, 100
36.36, 76
30.75, 57
37.83, 55
36.61, 34
31.04, 25
53.66, 22
68.80, 18
49.69, 16
42.64, 13

Atomic structure:
```
Tb6RuRh3
1.0
8.040 0.000 0.000
0.000 12.395 0.000
0.000 0.000 4.757
Tb Ru Rh
12 2 6
Cartesian
0.050 2.971 0.000
1.211 5.036 2.378
1.436 0.948 2.378
2.584 7.145 0.000
2.809 11.234 0.000
3.970 9.169 2.378
4.070 3.226 2.378
5.231 1.161 0.000
5.456 5.250 0.000
6.604 11.447 2.378
6.828 7.359 2.378
7.990 9.424 0.000
0.000 6.198 0.000
4.020 0.000 2.378
0.000 0.000 0.000
1.313 10.383 2.378
2.707 4.186 0.000
4.020 6.198 2.378
5.333 8.209 0.000
6.727 2.012 2.378
```

---

# 7
AgRh4Se: simulated PXRD pattern (a wavelength of 1.5418 Å), based on the PBE geometry in Alexandria.
No peak broadening, texture or thermal motion is included.

Peak list (10 most intense, 2θ from 15° to 90°, in order of falling intensity)
Position (°2θ), I/Imax
40.79, 100
42.69, 43
66.19, 31
72.94, 27
34.58, 24
88.38, 16
87.11, 11
20.97, 10
61.97, 8
49.71, 6

Atomic structure:
```
AgRh4Se
1.0
0.000 3.668 3.668
3.668 0.000 3.668
3.668 3.668 0.000
Ag Rh Se
1 4 1
Cartesian
0.000 0.000 0.000
4.585 2.751 2.751
2.751 4.585 2.751
2.751 2.751 4.585
4.585 4.585 4.585
1.834 1.834 1.834
```

---

# 8
Tl2SbIO6: simulated PXRD pattern (a wavelength of 1.5418 Å), based on the PBE geometry in Alexandria.
No peak broadening, texture or thermal motion is included.

Peak list (10 most intense, 2θ from 15° to 90°, in order of falling intensity)
Position (°2θ), I/Imax
30.22, 100
53.69, 41
43.27, 28
87.22, 22
71.32, 18
62.85, 18
37.24, 7
79.38, 6
21.25, 4
48.69, 2

Atomic structure:
```
Tl2SbIO6
1.0
0.000 4.182 4.182
4.182 0.000 4.182
4.182 4.182 0.000
Tl Sb I O
2 1 1 6
Cartesian
2.091 2.091 2.091
6.273 6.273 6.273
0.000 0.000 0.000
4.182 4.182 4.182
4.182 4.182 2.076
4.182 2.076 4.182
6.287 4.182 4.182
2.076 4.182 4.182
4.182 6.287 4.182
4.182 4.182 6.287
```